Diffraction record for Ac2CoPbO5. The PXRD pattern is theoretical, not measured: it uses a DFT-relaxed cell (GGA+U, Alexandria) and Cu Kα (λ = 1.5418 Å).
Lines closer than 0.1° are merged.

Crystal structure
abc: 7.172 7.172 6.566
angles: 90.00 90.00 90.00
Space group P4/mbm (No. 127)
Inequivalent atoms, fractional coordinates:
Ac1 0.179 0.321 0.000 x4
Co1 0.000 0.000 0.500 x2
Pb1 0.000 0.500 0.500 x2
O1 0.000 0.000 0.000 x2
O2 0.144 0.644 0.242 x8

Top 8 peaks for 15 to 90 degrees two-theta, by angle:
| (hkl) | d_spacing | I_rel |
| --- | --- | --- |
| 1 1 0 | 5.071 | 30 |
| 0 0 2 | 3.283 | 43 |
| 2 1 0 | 3.207 | 25 |
| 2 0 1 | 3.147 | 100 |
| 2 1 1 | 2.882 | 54 |
| 2 1 2 | 2.294 | 39 |
| 3 1 1 | 2.144 | 30 |
| 2 0 3 | 1.868 | 23 |